Starting from the PBE geometry in the Materials Project, the X-ray diffraction stick pattern of Cs2SnTe4 was simulated for CuKα.
Intensities are scaled so that the largest is 100.

Cell: 12.920 12.132 7.810 Å, 90.00 90.00 90.00°
Space group Pnma (No. 62)
One atom of each set of equivalent atoms:
1 Cs 0.146 0.055 0.105
2 Sn 0.066 0.750 0.498
3 Te 0.070 0.071 0.591
4 Te 0.125 0.750 0.841
5 Te 0.225 0.750 0.248

The 6 most intense peaks (5 to 70 degrees two-theta), by angle:
hkl  two_theta  I/Imax
3 0 1  23.6  32.2
1 1 2  24.9  25.7
2 3 0  26.0  100.0
1 2 2  28.0  33.1
4 1 1  30.9  24.9
5 3 1  43.1  30.4